# Na5Nd4Si4O17
Computed X-ray powder pattern, copper Kα. Input: a GGA-PBE-relaxed structure.
Lines closer than 0.1° are merged.

Top 10 peaks for 2θ from 5° to 70°, in order of falling intensity:
| Position (°2θ) | I/Imax |
| --- | --- |
| 17.6 | 100 |
| 31.3 | 84 |
| 27.5 | 75 |
| 34.8 | 69 |
| 10.4 | 60 |
| 32.2 | 55 |
| 23.0 | 53 |
| 23.4 | 53 |
| 47.1 | 51 |
| 40.9 | 45 |

Cell and atoms:
a b c (Å): 8.935 8.935 8.935
angles (deg): 95.55 95.55 143.77
Element x y z (fractional)
Na  0.000  0.000  0.000
Na  0.095  0.580  0.695
Na  0.420  0.115  0.515
Na  0.600  0.905  0.485
Na  0.885  0.400  0.305
Nd  0.297  0.363  0.701
Nd  0.404  0.703  0.066
Nd  0.637  0.338  0.934
Nd  0.662  0.596  0.299
Si  0.112  0.257  0.350
Si  0.239  0.888  0.146
Si  0.743  0.093  0.854
Si  0.907  0.761  0.650
O  0.040  0.276  0.857
O  0.086  0.365  0.491
O  0.150  0.718  0.971
O  0.219  0.043  0.754
O  0.282  0.254  0.432
O  0.289  0.465  0.246
O  0.404  0.914  0.279
O  0.419  0.183  0.143
O  0.500  0.500  0.000
O  0.535  0.781  0.824
O  0.635  0.125  0.721
O  0.724  0.581  0.764
O  0.746  0.178  0.029
O  0.817  0.960  0.236
O  0.822  0.850  0.568
O  0.875  0.596  0.509
O  0.957  0.711  0.176